Record 1
For Cu3Te2S, a PBE-relaxed structure gives the simulated powder XRD pattern in this record (Cu Kα).
No peak broadening, texture or thermal motion is included.

Top 10 peaks for 2θ from 5° to 70°, sorted by position:
2θ/deg, Rel. int.
21.92, 168
29.58, 556
30.84, 1000
33.39, 209
36.54, 143
41.80, 255
42.75, 643
43.76, 575
46.46, 250
56.04, 173

Crystal structure
```
Cu3Te2S
1.0
5.8640 -3.6572 0.0000
5.8640 3.6572 0.0000
0.0000 0.0000 5.3565
Cu Te S
6 4 2
Direct
0.0562 0.9438 0.5000
0.3441 0.3682 0.0991
0.3682 0.3441 0.5991
0.6318 0.6559 0.0991
0.6559 0.6318 0.5991
0.9438 0.0562 0.0000
0.0105 0.3265 0.3298
0.3265 0.0105 0.8298
0.6735 0.9895 0.3298
0.9895 0.6735 0.8298
0.3565 0.6435 0.3637
0.6435 0.3565 0.8637
```



Record 2
For Tl3Cu2Br2Cl5, a PBE-relaxed structure gives the simulated powder XRD pattern in this record (Cu Kα).
No peak broadening, texture or thermal motion is included.

Top 10 peaks for 2θ from 5° to 70°, sorted by position:
2θ/deg, Rel. int.
20.51, 244
24.89, 668
25.54, 1000
30.13, 247
32.97, 838
36.42, 743
44.62, 297
51.05, 220
52.46, 254
63.37, 250

Crystal structure
```
Tl3Cu2Br2Cl5
1.0
-2.4666 2.4666 12.9921
2.4666 -2.4666 12.9921
2.4666 2.4666 -12.9921
Tl Cu Br Cl
3 2 2 5
Direct
0.0000 0.0000 0.0000
0.1778 0.1778 0.0000
0.8222 0.8222 0.0000
0.4073 0.4073 0.0000
0.5927 0.5927 0.0000
0.3095 0.3095 0.0000
0.6905 0.6905 0.0000
0.0915 0.5915 0.5000
0.4085 0.9085 0.5000
0.5000 0.5000 0.0000
0.5915 0.0915 0.5000
0.9085 0.4085 0.5000
```



Record 3
For Zn2AgH2, a PBE-relaxed structure gives the simulated powder XRD pattern in this record (Cu Kα).
No peak broadening, texture or thermal motion is included.

Top 10 peaks for 2θ from 5° to 70°, sorted by position:
2θ/deg, Rel. int.
24.29, 248
31.54, 679
38.85, 205
40.22, 1000
43.98, 273
47.58, 77
49.76, 133
56.11, 192
57.19, 125
65.85, 109

Crystal structure
```
Zn2AgH2
1.0
5.1830 0.0000 0.0000
0.0000 5.1830 0.0000
0.0000 0.0000 4.4793
Zn Ag H
4 2 4
Direct
0.1784 0.3216 0.0000
0.3216 0.8216 0.0000
0.6784 0.1784 0.0000
0.8216 0.6784 0.0000
0.0000 0.0000 0.5000
0.5000 0.5000 0.5000
0.2089 0.2911 0.5000
0.2911 0.7911 0.5000
0.7089 0.2089 0.5000
0.7911 0.7089 0.5000
```



Record 4
For Pr2NdI2N2, a PBE-relaxed structure gives the simulated powder XRD pattern in this record (Cu Kα).
No peak broadening, texture or thermal motion is included.

Top 10 peaks for 2θ from 5° to 70°, sorted by position:
2θ/deg, Rel. int.
9.16, 584
27.06, 1000
30.06, 883
37.91, 550
38.64, 455
49.71, 433
55.25, 368
55.79, 153
63.08, 187
64.46, 163

Crystal structure
```
Pr2NdI2N2
1.0
-2.3304 2.3304 9.6506
2.3304 -2.3304 9.6506
2.3304 2.3304 -9.6506
Pr Nd I N
2 1 2 2
Direct
0.0781 0.0781 0.0000
0.9219 0.9219 0.0000
0.5000 0.5000 0.0000
0.3325 0.3325 0.0000
0.6675 0.6675 0.0000
0.0000 0.5000 0.5000
0.5000 0.0000 0.5000
```



Record 5
For Tb2Pm5Mg5, a PBE-relaxed structure gives the simulated powder XRD pattern in this record (Cu Kα).
No peak broadening, texture or thermal motion is included.

Top 10 peaks for 2θ from 5° to 70°, sorted by position:
2θ/deg, Rel. int.
6.64, 373
15.49, 1000
26.60, 341
28.39, 507
29.62, 441
31.54, 884
31.77, 641
34.29, 827
36.41, 297
39.80, 295

Crystal structure
```
Tb2Pm5Mg5
1.0
7.8394 -1.7602 0.0000
7.8394 1.7602 0.0000
-4.6313 0.0000 13.3099
Tb Pm Mg
2 5 5
Direct
0.1878 0.1878 0.1752
0.8122 0.8122 0.8248
0.0000 0.0000 0.5000
0.3526 0.3526 0.0588
0.4342 0.4342 0.6942
0.5658 0.5658 0.3058
0.6474 0.6474 0.9412
0.0000 0.0000 0.0000
0.1301 0.1301 0.7289
0.2864 0.2864 0.4266
0.7136 0.7136 0.5734
0.8699 0.8699 0.2711
```



Record 6
For Ac3Sm2Er2, a PBE-relaxed structure gives the simulated powder XRD pattern in this record (Cu Kα).
No peak broadening, texture or thermal motion is included.

Top 10 peaks for 2θ from 5° to 70°, sorted by position:
2θ/deg, Rel. int.
28.98, 905
29.58, 1000
31.87, 449
32.19, 495
45.93, 376
55.01, 187
55.38, 176
56.13, 266
58.18, 332
59.56, 161

Crystal structure
```
Ac3Sm2Er2
1.0
2.8077 -12.5390 0.0000
2.8077 12.5390 0.0000
0.0000 0.0000 3.7256
Ac Sm Er
3 2 2
Direct
0.0000 0.0000 0.0000
0.1542 0.8458 0.0000
0.8458 0.1542 0.0000
0.4267 0.5733 0.5000
0.5733 0.4267 0.5000
0.2852 0.7148 0.5000
0.7148 0.2852 0.5000
```



Record 7
For Pu2InGa9, a PBE-relaxed structure gives the simulated powder XRD pattern in this record (Cu Kα).
No peak broadening, texture or thermal motion is included.

Top 10 peaks for 2θ from 5° to 70°, sorted by position:
2θ/deg, Rel. int.
10.59, 331
30.67, 440
30.83, 764
33.72, 518
35.94, 478
37.76, 1000
38.62, 319
40.18, 401
63.84, 289
64.23, 318

Crystal structure
```
Pu2InGa9
1.0
2.9001 1.6744 8.3534
-2.9001 1.6744 8.3534
0.0000 -3.3488 8.3534
Pu In Ga
2 1 9
Direct
0.1383 0.1383 0.1383
0.8617 0.8617 0.8617
0.0000 0.0000 0.0000
0.0660 0.5951 0.5951
0.3387 0.3387 0.3387
0.4049 0.4049 0.9340
0.4049 0.9340 0.4049
0.5000 0.5000 0.5000
0.5951 0.0660 0.5951
0.5951 0.5951 0.0660
0.6613 0.6613 0.6613
0.9340 0.4049 0.4049
```



Record 8
For BeTcPHCl, a PBE-relaxed structure gives the simulated powder XRD pattern in this record (Cu Kα).
No peak broadening, texture or thermal motion is included.

Top 10 peaks for 2θ from 5° to 70°, sorted by position:
2θ/deg, Rel. int.
12.28, 1000
22.54, 358
24.71, 548
28.19, 196
33.22, 161
33.54, 149
35.60, 147
36.13, 150
45.01, 200
46.02, 120

Crystal structure
```
BeTcPHCl
1.0
2.9646 0.0000 0.0000
1.4819 4.1283 0.0000
0.1373 2.2256 7.2066
Be Tc P H Cl
1 1 1 1 1
Direct
0.0000 0.0000 0.0000
0.4841 0.0153 0.2542
0.2039 0.5722 0.2895
0.8714 0.2526 0.1215
0.0285 0.9710 0.7606
```



Record 9
For LiTl17Hg11, a PBE-relaxed structure gives the simulated powder XRD pattern in this record (Cu Kα).
No peak broadening, texture or thermal motion is included.

Top 10 peaks for 2θ from 5° to 70°, sorted by position:
2θ/deg, Rel. int.
32.03, 1000
32.10, 918
32.22, 970
35.52, 455
35.83, 181
37.17, 196
38.81, 145
57.15, 311
57.25, 180
57.38, 150

Crystal structure
```
LiTl17Hg11
1.0
5.9125 -8.3978 0.0000
5.9125 8.3978 0.0000
-5.8557 0.0000 8.3245
Li Tl Hg
1 17 11
Direct
0.0000 0.0000 0.0000
0.0129 0.3702 0.1973
0.0397 0.3683 0.5976
0.0484 0.7728 0.1949
0.0732 0.6875 0.5127
0.3683 0.0397 0.5976
0.3695 0.3695 0.1912
0.3702 0.0129 0.1973
0.3724 0.7722 0.8741
0.3754 0.3754 0.8288
0.6618 0.9748 0.8033
0.6875 0.0732 0.5127
0.6986 0.6986 0.9048
0.7230 0.7230 0.5469
0.7722 0.3724 0.8741
0.7728 0.0484 0.1949
0.9748 0.6618 0.8033
0.9924 0.9924 0.4991
0.0067 0.1911 0.8472
0.1659 0.1659 0.3375
0.1863 0.5564 0.0069
0.1911 0.0067 0.8472
0.3572 0.5426 0.5632
0.3650 0.7267 0.3831
0.5426 0.3572 0.5632
0.5564 0.1863 0.0069
0.5591 0.7377 0.1909
0.7267 0.3650 0.3831
0.7377 0.5591 0.1909
```



Record 10
For Tb3Os, a PBE-relaxed structure gives the simulated powder XRD pattern in this record (Cu Kα).
No peak broadening, texture or thermal motion is included.

Top 10 peaks for 2θ from 5° to 70°, sorted by position:
2θ/deg, Rel. int.
30.76, 779
31.20, 627
32.63, 390
34.42, 866
34.88, 562
35.75, 428
36.22, 226
37.89, 1000
39.43, 334
57.90, 242

Crystal structure
```
Tb3Os
1.0
11.6514 0.0000 0.0000
0.0000 11.6514 0.0000
0.0000 0.0000 6.2118
Tb Os
24 8
Direct
0.0312 0.5908 0.2039
0.0908 0.9688 0.7039
0.1181 0.1967 0.0224
0.1186 0.6650 0.6966
0.1650 0.8814 0.1966
0.1967 0.3819 0.4776
0.3033 0.1181 0.4776
0.3350 0.6186 0.1966
0.3814 0.8350 0.6966
0.3819 0.3033 0.0224
0.4092 0.5312 0.7039
0.4688 0.9092 0.2039
0.5312 0.0908 0.7961
0.5908 0.4688 0.2961
0.6181 0.6967 0.9776
0.6186 0.1650 0.3034
0.6650 0.3814 0.8034
0.6967 0.8819 0.5224
0.8033 0.6181 0.5224
0.8350 0.1186 0.8034
0.8814 0.3350 0.3034
0.8819 0.8033 0.9776
0.9092 0.0312 0.2961
0.9688 0.4092 0.7961
0.0462 0.1909 0.5249
0.1909 0.4538 0.9751
0.3091 0.0462 0.9751
0.4538 0.3091 0.5249
0.5462 0.6909 0.4751
0.6909 0.9538 0.0249
0.8091 0.5462 0.0249
0.9538 0.8091 0.4751
```



Record 11
For RbTiBe2F8, a PBE-relaxed structure gives the simulated powder XRD pattern in this record (Cu Kα).
No peak broadening, texture or thermal motion is included.

Top 10 peaks for 2θ from 5° to 70°, sorted by position:
2θ/deg, Rel. int.
21.86, 412
25.29, 1000
33.01, 138
36.08, 305
37.81, 304
42.57, 665
56.99, 223
58.62, 263
64.91, 114
69.35, 117

Crystal structure
```
RbTiBe2F8
1.0
2.4883 1.4366 8.1417
-2.4883 1.4366 8.1417
0.0000 -2.8732 8.1417
Rb Ti Be F
1 1 2 8
Direct
0.0000 0.0000 0.0000
0.5000 0.5000 0.5000
0.2390 0.2390 0.2390
0.7610 0.7610 0.7610
0.1029 0.5140 0.7383
0.2617 0.8971 0.4860
0.3000 0.3000 0.3000
0.4860 0.2617 0.8971
0.5140 0.7383 0.1029
0.7000 0.7000 0.7000
0.7383 0.1029 0.5140
0.8971 0.4860 0.2617
```



Record 12
For HoPu2N4, a PBE-relaxed structure gives the simulated powder XRD pattern in this record (Cu Kα).
No peak broadening, texture or thermal motion is included.

Top 10 peaks for 2θ from 5° to 70°, sorted by position:
2θ/deg, Rel. int.
28.95, 345
30.26, 1000
31.74, 389
32.64, 411
35.78, 174
36.85, 287
39.89, 289
52.31, 182
55.62, 185
63.57, 255

Crystal structure
```
HoPu2N4
1.0
1.6851 -5.6387 0.0000
1.6851 5.6387 0.0000
0.0000 0.0000 10.4023
Ho Pu N
2 4 8
Direct
0.1074 0.8926 0.7500
0.8926 0.1074 0.2500
0.3686 0.6314 0.5710
0.3686 0.6314 0.9290
0.6314 0.3686 0.0710
0.6314 0.3686 0.4290
0.0000 0.0000 0.0000
0.0000 0.0000 0.5000
0.2736 0.7264 0.1086
0.2736 0.7264 0.3914
0.4660 0.5340 0.7500
0.5340 0.4660 0.2500
0.7264 0.2736 0.6086
0.7264 0.2736 0.8914
```



Record 13
For Ac2La2TbPr4, a PBE-relaxed structure gives the simulated powder XRD pattern in this record (Cu Kα).
No peak broadening, texture or thermal motion is included.

Top 10 peaks for 2θ from 5° to 70°, sorted by position:
2θ/deg, Rel. int.
27.26, 222
29.31, 608
30.08, 868
30.33, 372
31.74, 1000
37.93, 202
48.08, 312
51.39, 207
54.54, 198
56.98, 189

Crystal structure
```
Ac2La2TbPr4
1.0
9.8097 -1.9065 0.0000
9.8097 1.9065 0.0000
-4.3955 0.0000 9.1417
Ac La Tb Pr
2 2 1 4
Direct
0.1446 0.1446 0.1650
0.8554 0.8554 0.8350
0.3356 0.3356 0.4977
0.6644 0.6644 0.5023
0.0000 0.0000 0.5000
0.1848 0.1848 0.8321
0.4818 0.4818 0.1820
0.5182 0.5182 0.8180
0.8152 0.8152 0.1679
```